[1]
For NdThSc2P4, a cell relaxed with GGA-PBE gives the simulated powder diffraction line list in this record (Cu Kα).
Lines closer than 0.1° are merged.

a = 6.810 Å, b = 3.983 Å, c = 6.894 Å
α = 90.00°, β = 109.65°, γ = 90.00°
Space group P2/m (No. 10)
Inequivalent atoms, fractional coordinates:
Nd1 0.000 0.000 0.000
Th1 0.000 0.500 0.500
Sc1 0.500 0.000 0.500
Sc2 0.500 0.500 0.000
P1 0.274 0.000 0.757
P2 0.274 0.500 0.260

Most intense lines, 2θ = 10–90°, low angle first:
(hkl)	Position (°2θ)	Rel. int.
1 0 0	13.8	44.6
0 1 1	26.3	40.6
0 0 2	27.5	48.1
2 0 0	27.8	16.0
1 1 1	31.9	100.0
1 0 2	34.9	22.2
0 2 0	45.6	36.7
2 0 2	46.0	34.5
0 0 4	56.7	18.8
1 3 1	75.6	16.1


[2]
For CsKRb4Hg2, a cell relaxed with GGA-PBE gives the simulated powder diffraction line list in this record (Cu Kα).
Lines closer than 0.1° are merged.

a = 6.245 Å, b = 6.245 Å, c = 14.626 Å
α = 90.00°, β = 90.00°, γ = 90.00°
Space group P4/mmm (No. 123)
Inequivalent atoms, fractional coordinates:
Cs1 0.000 0.000 0.000
K1 0.000 0.000 0.500
Rb1 0.000 0.500 0.258
Hg1 0.500 0.500 0.102

Most intense lines, 2θ = 10–90°, low angle first:
(hkl)	Position (°2θ)	Rel. int.
1 0 1	15.4	34.1
1 1 1	21.0	58.2
1 1 2	23.5	100.0
1 0 4	28.3	40.6
2 0 0	28.6	64.9
1 1 4	31.8	29.9
1 0 5	33.8	23.6
2 1 4	40.6	30.7
2 2 0	40.9	24.6
3 1 2	47.7	29.0


[3]
For YHfSc2S6, a cell relaxed with GGA-PBE gives the simulated powder diffraction line list in this record (Cu Kα).
Lines closer than 0.1° are merged.

a = 6.5434 Å, b = 6.5434 Å, c = 17.9900 Å
α = 90.00°, β = 90.00°, γ = 120.00°
Space group R3 (No. 146, hexagonal axes)
Inequivalent atoms, fractional coordinates:
Y1 0.0000 0.0000 0.0000
Hf1 0.0000 0.0000 0.4939
Sc1 0.0000 0.0000 0.3055
Sc2 0.0000 0.0000 0.8082
S1 0.0158 0.3458 0.5650
S2 0.0212 0.7096 0.4016

Most intense lines, 2θ = 10–90°, low angle first:
(hkl)	Position (°2θ)	Rel. int.
1 0 1	16.4	23.0
0 1 2	18.5	100.0
1 0 4	25.3	73.1
1 1 0	27.3	54.8
2 -1 3	31.1	41.7
0 2 4	37.5	33.0
2 -1 6	40.8	98.5
3 -1 4	47.0	32.3
3 0 0	48.2	47.2
2 2 6	64.9	22.9


[4]
For Dy3Ho2Th3, a cell relaxed with GGA-PBE gives the simulated powder diffraction line list in this record (Cu Kα).
Lines closer than 0.1° are merged.

a = 5.004 Å, b = 5.038 Å, c = 20.157 Å
α = 90.00°, β = 90.00°, γ = 90.00°
Space group Immm (No. 71)
Inequivalent atoms, fractional coordinates:
Dy1 0.000 0.000 0.000
Dy2 0.000 0.500 0.375
Ho1 0.000 0.000 0.250
Th1 0.000 0.000 0.500
Th2 0.000 0.500 0.124

Most intense lines, 2θ = 10–90°, low angle first:
(hkl)	Position (°2θ)	Rel. int.
1 1 4	30.8	100.0
0 2 0	35.6	34.1
2 0 0	35.9	17.0
0 2 8	51.3	12.3
2 2 0	51.5	24.3
1 3 4	61.0	29.3
3 1 4	61.4	14.4
2 2 8	64.2	12.7
1 3 12	83.7	6.1
3 3 4	84.0	12.3


[5]
For Pa4ZnTc5, a cell relaxed with GGA-PBE gives the simulated powder diffraction line list in this record (Cu Kα).
Lines closer than 0.1° are merged.

a = 9.330 Å, b = 10.067 Å, c = 4.256 Å
α = 90.00°, β = 90.00°, γ = 90.00°
Space group Pmmn (No. 59, origin choice 2)
Inequivalent atoms, fractional coordinates:
Pa1 0.055 0.250 0.250
Pa2 0.250 0.520 0.749
Zn1 0.250 0.750 0.248
Tc1 0.033 0.602 0.250
Tc2 0.250 0.250 0.750

Most intense lines, 2θ = 10–90°, low angle first:
(hkl)	Position (°2θ)	Rel. int.
2 2 0	26.0	34.2
1 3 0	28.3	20.3
1 2 1	29.1	59.3
3 0 1	35.7	87.7
4 0 0	38.6	23.7
2 3 1	39.3	100.0
0 0 2	42.5	41.1
3 4 1	51.4	17.2
5 2 1	56.9	18.9
0 8 0	75.6	18.3


[6]
For Ac6Cd2Pb3, a cell relaxed with GGA-PBE gives the simulated powder diffraction line list in this record (Cu Kα).
Lines closer than 0.1° are merged.

a = 6.258 Å, b = 6.258 Å, c = 23.428 Å
α = 90.00°, β = 90.00°, γ = 90.00°
Space group I4/mmm (No. 139)
Inequivalent atoms, fractional coordinates:
Ac1 0.000 0.000 0.203
Ac2 0.000 0.500 0.086
Cd1 0.000 0.000 0.058
Pb1 0.000 0.000 0.344
Pb2 0.000 0.000 0.500

Most intense lines, 2θ = 10–90°, low angle first:
(hkl)	Position (°2θ)	Rel. int.
1 1 2	21.5	26.4
1 1 4	25.2	20.8
2 0 0	28.5	100.0
1 0 7	30.3	46.4
1 1 6	30.5	75.4
2 2 0	40.8	39.0
2 1 7	42.1	38.5
3 1 6	51.8	37.7
4 0 0	59.0	14.5
4 2 0	66.9	18.6


[7]
For Ta3CrB4, a cell relaxed with GGA-PBE gives the simulated powder diffraction line list in this record (Cu Kα).
Lines closer than 0.1° are merged.

a = 3.249 Å, b = 4.703 Å, c = 11.996 Å
α = 90.00°, β = 90.00°, γ = 90.00°
Space group Immm (No. 71)
Inequivalent atoms, fractional coordinates:
Ta1 0.000 0.000 0.000
Ta2 0.000 0.500 0.192
Cr1 0.000 0.000 0.500
B1 0.000 0.317 0.372

Most intense lines, 2θ = 10–90°, low angle first:
(hkl)	Position (°2θ)	Rel. int.
1 0 1	28.5	20.0
0 1 3	29.3	67.3
1 1 2	36.8	100.0
0 2 0	38.3	29.1
0 0 6	45.4	19.8
1 0 5	47.1	24.3
1 2 5	62.2	19.1
2 1 3	65.1	14.9
1 3 2	68.2	16.3
1 1 8	72.2	18.1


[8]
For PrErSc, a cell relaxed with GGA-PBE gives the simulated powder diffraction line list in this record (Cu Kα).
Lines closer than 0.1° are merged.

a = 3.507 Å, b = 4.912 Å, c = 10.517 Å
α = 90.00°, β = 90.00°, γ = 90.00°
Space group Pmmn (No. 59, origin choice 2)
Inequivalent atoms, fractional coordinates:
Pr1 0.250 0.250 0.093
Er1 0.250 0.250 0.733
Sc1 0.250 0.250 0.422

Most intense lines, 2θ = 10–90°, low angle first:
(hkl)	Position (°2θ)	Rel. int.
0 1 2	24.8	12.3
1 1 0	31.3	100.0
1 0 3	36.2	32.7
0 2 0	36.6	17.0
2 0 0	52.2	10.7
1 2 3	52.4	22.5
2 1 3	62.1	24.3
1 3 0	62.6	13.5
2 2 0	65.4	11.5
2 3 3	85.8	10.8